Entry 1:
Theoretical powder diffraction line list of RuC4 for Cu Kα (λ = 1.5418 Å), from a crystal structure in Alexandria, relaxed with PBE.
Lines closer than 0.1° are merged.

Structural model:
```
data_RuC4
_chemical_formula_sum 'Ru1 C4'
_space_group_name_H-M_alt 'P -3 m 1'
_space_group_IT_number 164
_space_group_name_Hall '-P 3 2"'
_cell_length_a 2.7128
_cell_length_b 2.7128
_cell_length_c 6.2042
_cell_angle_alpha 90.00
_cell_angle_beta 90.00
_cell_angle_gamma 120.00
loop_
_atom_site_label
_atom_site_type_symbol
_atom_site_fract_x
_atom_site_fract_y
_atom_site_fract_z
Ru1 Ru 0.0000 0.0000 0.0000
C1 C 0.3333 0.6667 0.2196
C2 C 0.3333 0.6667 0.4568
```

The 6 most intense peaks (2θ = 15–90°), by angle:
d/Å, I_rel
3.102, 36
2.349, 33
2.197, 100
1.873, 52
1.552, 39
1.356, 15



Entry 2:
Theoretical powder diffraction line list of Ru4C3 for Cu Kα (λ = 1.5418 Å), from a crystal structure in Alexandria, relaxed with PBE.
Lines closer than 0.1° are merged.

Structural model:
```
data_Ru4C3
_chemical_formula_sum 'Ru4 C3'
_space_group_name_H-M_alt 'P m -3 m'
_space_group_IT_number 221
_space_group_name_Hall '-P 4 2 3'
_cell_length_a 4.2436
_cell_length_b 4.2436
_cell_length_c 4.2436
_cell_angle_alpha 90.00
_cell_angle_beta 90.00
_cell_angle_gamma 90.00
loop_
_atom_site_label
_atom_site_type_symbol
_atom_site_fract_x
_atom_site_fract_y
_atom_site_fract_z
Ru1 Ru 0.0000 0.0000 0.0000
Ru2 Ru 0.0000 0.5000 0.5000
C1 C 0.0000 0.0000 0.5000
```

The 5 most intense peaks (2θ = 15–90°), by angle:
d/Å, I_rel
2.450, 100
2.122, 66
1.500, 42
1.279, 38
1.225, 14



Q: What is the formula in the second record?
A: Ru4C3